This entry pairs a crystal structure of Mn5FeOs with its theoretical powder X-ray diffraction pattern. Radiation: CuKα. Structure: a cell relaxed with GGA-PBE.
Neutral-atom scattering factors, no anomalous dispersion.

Structural model:
Cell lengths 8.530, 4.612, 5.451 Å; angles 90.00, 127.44, 90.00 degrees
Space group Cm (No. 8)
Unique sites:
Mn 0.000 0.000 0.000 [2 per cell]
Mn 0.016 0.232 0.514 [4 per cell]
Mn 0.201 0.500 0.393 [2 per cell]
Mn 0.317 0.000 0.584 [2 per cell]
Fe 0.193 0.500 0.988 [2 per cell]
Os 0.319 0.000 0.022 [2 per cell]

Main lines, in order of rising 2θ (10° ≤ 2θ ≤ 90°):
- hkl 2 0 -1, d = 4.166 Å, I 53
- hkl 1 1 0, d = 3.812 Å, I 61
- hkl 1 1 -1, d = 3.520 Å, I 48
- hkl 3 1 -1, d = 2.410 Å, I 52
- hkl 3 1 -2, d = 2.193 Å, I 60
- hkl 0 0 2, d = 2.164 Å, I 78
- hkl 0 2 1, d = 2.035 Å, I 65
- hkl 3 1 0, d = 2.028 Å, I 100
- hkl 2 2 0, d = 1.906 Å, I 56
- hkl 2 2 -2, d = 1.760 Å, I 54